Diffraction record for V3Cr3Si2. The X-ray diffraction stick pattern is simulated, not measured: it uses a crystal structure in the Materials Project, relaxed with PBE and Cu Kα (λ = 1.5418 Å).
Kinematic intensities with the Lorentz-polarization factor, no thermal factor.

Lattice parameters (Å, degrees): 6.5061 6.5061 7.9818 90.00 90.00 120.00
Space group R32 (No. 155, hexagonal axes)
Inequivalent atoms, fractional coordinates:
1 V 0.0000 0.7500 0.0000
2 Cr 0.0000 0.2499 0.5000
3 Si 0.0000 0.0000 0.2503

Largest 6 diffraction maxima, low angle first, 5° ≤ 2θ ≤ 70°:
Position (°2θ), intensity
27.40, 9.9
39.14, 21.6
43.99, 100.0
48.44, 44.4
56.55, 1.0
63.96, 1.3

Diffraction record for Nd2Sn4Rh. The X-ray diffraction stick pattern is simulated, not measured: it uses a crystal structure in the Materials Project, relaxed with PBE and Cu Kα (λ = 1.5418 Å).
Kinematic intensities with the Lorentz-polarization factor, no thermal factor.

Lattice parameters (Å, degrees): 4.600 4.598 17.451 90.00 90.00 90.00
Space group Amm2 (No. 38)
Inequivalent atoms, fractional coordinates:
1 Nd 0.000 0.000 0.000
2 Nd 0.500 0.000 0.209
3 Sn 0.000 0.000 0.343
4 Sn 0.000 0.000 0.670
5 Sn 0.500 0.000 0.561
6 Sn 0.500 0.000 0.843
7 Rh 0.500 0.000 0.414

Largest 10 diffraction maxima, low angle first, 5° ≤ 2θ ≤ 70°:
Position (°2θ), intensity
30.74, 12.7
31.52, 100.0
32.20, 13.5
36.55, 19.2
37.81, 10.8
39.18, 48.3
50.60, 12.9
54.66, 12.1
56.61, 16.7
66.24, 31.0

Diffraction record for ErCr2Si2C. The X-ray diffraction stick pattern is simulated, not measured: it uses a crystal structure in the Materials Project, relaxed with PBE and Cu Kα (λ = 1.5418 Å).
Kinematic intensities with the Lorentz-polarization factor, no thermal factor.

Lattice parameters (Å, degrees): 3.960 3.960 5.207 90.00 90.00 90.00
Space group P4/mmm (No. 123)
Inequivalent atoms, fractional coordinates:
1 Er 0.000 0.000 0.000
2 Cr 0.000 0.500 0.500
3 Si 0.500 0.500 0.230
4 C 0.000 0.000 0.500

Largest 10 diffraction maxima, low angle first, 5° ≤ 2θ ≤ 70°:
Position (°2θ), intensity
22.45, 32.3
28.31, 56.9
34.45, 20.9
36.43, 100.0
41.51, 50.5
45.83, 40.4
54.75, 19.3
58.57, 16.8
63.01, 15.5
63.54, 28.1